# 1
# Nd8GaSe6
Computed PXRD pattern, a wavelength of 1.5418 Å. Input: the PBE geometry in Alexandria.
Intensities are scaled so that the largest is 100.

The 6 most intense peaks (10° ≤ 2θ ≤ 90°), sorted by position:
- 26.7 deg, d = 3.337 Å, I = 62
- 28.4 deg, d = 3.144 Å, I = 55
- 28.5 deg, d = 3.131 Å, I = 87
- 32.9 deg, d = 2.720 Å, I = 100
- 34.4 deg, d = 2.605 Å, I = 44
- 39.5 deg, d = 2.283 Å, I = 71

Cell: 10.8472 10.8472 4.2327 Å, 90.00 90.00 120.00°
Fractional positions:
Nd 0.0344 0.3194 0.2521
Nd 0.2850 0.9656 0.2521
Nd 0.3194 0.2850 0.7479
Nd 0.3333 0.6667 0.7494
Nd 0.6667 0.3333 0.2506
Nd 0.6806 0.7150 0.2521
Nd 0.7150 0.0344 0.7479
Nd 0.9656 0.6806 0.7479
Ga 0.0000 0.0000 0.5000
Se 0.1305 0.6475 0.2507
Se 0.3525 0.4830 0.2507
Se 0.4830 0.1305 0.7493
Se 0.5170 0.8695 0.2507
Se 0.6475 0.5170 0.7493
Se 0.8695 0.3525 0.7493

# 2
# NdThGaSe
Computed PXRD pattern, a wavelength of 1.5418 Å. Input: the PBE geometry in Alexandria.
Intensities are scaled so that the largest is 100.

The 6 most intense peaks (10° ≤ 2θ ≤ 90°), sorted by position:
- 25.5 deg, d = 3.487 Å, I = 42
- 29.5 deg, d = 3.024 Å, I = 88
- 29.7 deg, d = 3.012 Å, I = 44
- 42.3 deg, d = 2.136 Å, I = 100
- 52.5 deg, d = 1.744 Å, I = 36
- 69.5 deg, d = 1.352 Å, I = 31

Cell: 4.2770 4.2770 6.0244 Å, 90.00 90.00 90.00°
Fractional positions:
Nd 0.0000 0.0000 0.0000
Th 0.5000 0.5000 0.5000
Ga 0.0000 0.0000 0.5000
Se 0.5000 0.5000 0.0000

# 3
# Nd3GaSi2
Computed PXRD pattern, a wavelength of 1.5418 Å. Input: the PBE geometry in Alexandria.
Intensities are scaled so that the largest is 100.

The 6 most intense peaks (10° ≤ 2θ ≤ 90°), sorted by position:
- 23.6 deg, d = 3.774 Å, I = 46
- 26.9 deg, d = 3.310 Å, I = 42
- 29.9 deg, d = 2.987 Å, I = 59
- 30.8 deg, d = 2.906 Å, I = 100
- 34.4 deg, d = 2.606 Å, I = 74
- 42.9 deg, d = 2.109 Å, I = 42

Cell: 11.9161 4.2184 12.0262 Å, 90.00 90.00 90.00°
Fractional positions:
Nd 0.0595 0.2500 0.1192
Nd 0.1230 0.7500 0.5605
Nd 0.1984 0.2500 0.7988
Nd 0.3016 0.7500 0.2988
Nd 0.3770 0.2500 0.0605
Nd 0.4405 0.7500 0.6192
Nd 0.5595 0.2500 0.3808
Nd 0.6230 0.7500 0.9395
Nd 0.6984 0.2500 0.7012
Nd 0.8016 0.7500 0.2012
Nd 0.8770 0.2500 0.4395
Nd 0.9405 0.7500 0.8808
Ga 0.1343 0.2500 0.3664
Ga 0.3657 0.7500 0.8664
Ga 0.6343 0.2500 0.1336
Ga 0.8657 0.7500 0.6336
Si 0.0257 0.7500 0.3157
Si 0.1892 0.7500 0.9903
Si 0.3108 0.2500 0.4903
Si 0.4743 0.2500 0.8157
Si 0.5257 0.7500 0.1843
Si 0.6892 0.7500 0.5097
Si 0.8108 0.2500 0.0097
Si 0.9743 0.2500 0.6843

# 4
# Nd2GaSi2
Computed PXRD pattern, a wavelength of 1.5418 Å. Input: the PBE geometry in Alexandria.
Intensities are scaled so that the largest is 100.

The 6 most intense peaks (10° ≤ 2θ ≤ 90°), sorted by position:
- 25.6 deg, d = 3.485 Å, I = 38
- 31.9 deg, d = 2.801 Å, I = 100
- 32.2 deg, d = 2.776 Å, I = 92
- 32.5 deg, d = 2.755 Å, I = 42
- 41.2 deg, d = 2.190 Å, I = 44
- 42.5 deg, d = 2.127 Å, I = 35

Cell: 5.9231 5.9231 10.7182 Å, 114.46 114.46 42.10°
Fractional positions:
Nd 0.1060 0.1060 0.4077
Nd 0.2924 0.2924 0.8537
Nd 0.7076 0.7076 0.1463
Nd 0.8940 0.8940 0.5923
Ga 0.4410 0.4410 0.1920
Ga 0.5590 0.5590 0.8080
Si 0.0317 0.0317 0.9096
Si 0.3819 0.3819 0.3887
Si 0.6181 0.6181 0.6113
Si 0.9683 0.9683 0.0904

# 5
# NdThGaSi
Computed PXRD pattern, a wavelength of 1.5418 Å. Input: the PBE geometry in Alexandria.
Intensities are scaled so that the largest is 100.

The 6 most intense peaks (10° ≤ 2θ ≤ 90°), sorted by position:
- 21.6 deg, d = 4.116 Å, I = 28
- 27.2 deg, d = 3.284 Å, I = 49
- 31.0 deg, d = 2.887 Å, I = 100
- 31.3 deg, d = 2.856 Å, I = 56
- 31.9 deg, d = 2.805 Å, I = 29
- 38.6 deg, d = 2.334 Å, I = 39

Cell: 4.0509 6.0302 6.0302 Å, 43.05 90.00 90.00°
Fractional positions:
Nd 0.0000 0.0000 0.0000
Th 0.5000 0.2834 0.2834
Ga 0.5000 0.5687 0.5687
Si 0.0000 0.7169 0.7169

# 6
# Nd4SmGa
Computed PXRD pattern, a wavelength of 1.5418 Å. Input: the PBE geometry in Alexandria.
Intensities are scaled so that the largest is 100.

The 6 most intense peaks (10° ≤ 2θ ≤ 90°), sorted by position:
- 27.4 deg, d = 3.256 Å, I = 15
- 30.8 deg, d = 2.901 Å, I = 100
- 34.7 deg, d = 2.587 Å, I = 44
- 49.8 deg, d = 1.829 Å, I = 16
- 57.4 deg, d = 1.604 Å, I = 14
- 59.8 deg, d = 1.547 Å, I = 30

Cell: 3.6590 3.6590 14.2818 Å, 90.00 90.00 90.00°
Fractional positions:
Nd 0.0000 0.0000 0.1311
Nd 0.0000 0.0000 0.8689
Nd 0.5000 0.5000 0.3185
Nd 0.5000 0.5000 0.6815
Sm 0.0000 0.0000 0.5000
Ga 0.5000 0.5000 0.0000